No. 1
Starting from a structure optimized by DFT (PBE), the powder XRD pattern of U2Tl2PdSe6 was computed for Cu Ka.
Neutral-atom scattering factors, no anomalous dispersion.

Crystal structure
Unit cell a=6.8222 b=12.1210 c=8.2583 alpha=90.00 beta=105.56 gamma=90.00
Space group C2/m (No. 12)
One atom of each set of equivalent atoms:
U1 0.0000 0.1657 0.0000 (multiplicity 4)
Tl1 0.0000 0.3378 0.5000 (multiplicity 4)
Pd1 0.0000 0.5000 0.0000 (multiplicity 2)
Se1 0.2401 0.0000 0.1896 (multiplicity 4)
Se2 0.2408 0.3258 0.2068 (multiplicity 8)

Largest 6 diffraction maxima, low angle first, 2θ = 5–70°:
d_spacing  two_theta  Rel. int.  (hkl)
7.956  11.12  24  0 0 1
5.308  16.70  22  1 1 -1
3.009  29.69  100  1 3 1
2.952  30.28  46  2 0 -2
2.260  39.89  37  1 3 -3
1.982  45.79  32  3 3 -1

***

No. 2
Starting from a structure optimized by DFT (PBE), the powder XRD pattern of PaAg2Te4 was computed for Cu Ka.
Neutral-atom scattering factors, no anomalous dispersion.

Crystal structure
Unit cell a=8.5952 b=9.7813 c=10.6961 alpha=90.00 beta=90.00 gamma=90.00
Space group Imma (No. 74)
One atom of each set of equivalent atoms:
Pa1 0.0000 0.2500 0.2497 (multiplicity 4)
Ag1 0.0000 0.0000 0.0000 (multiplicity 4)
Ag2 0.2500 0.2500 0.7500 (multiplicity 4)
Te1 0.0000 0.0583 0.7449 (multiplicity 8)
Te2 0.2466 0.2500 0.0528 (multiplicity 8)

Largest 6 diffraction maxima, low angle first, 2θ = 5–70°:
d_spacing  two_theta  Rel. int.  (hkl)
3.350  26.61  71  2 0 2
3.228  27.63  54  2 2 0
2.674  33.51  49  0 0 4
2.642  33.93  69  2 1 3
2.524  35.57  67  2 3 1
2.099  43.09  100  2 3 3

***

No. 3
Starting from a structure optimized by DFT (PBE), the powder XRD pattern of NdHoCuRu was computed for Cu Ka.
Neutral-atom scattering factors, no anomalous dispersion.

Crystal structure
Unit cell a=4.4532 b=3.7340 c=10.5722 alpha=90.00 beta=90.00 gamma=90.00
Space group Amm2 (No. 38)
One atom of each set of equivalent atoms:
Nd1 0.0000 0.0000 0.0000 (multiplicity 2)
Ho1 0.5000 0.0000 0.7171 (multiplicity 2)
Cu1 0.5000 0.0000 0.4257 (multiplicity 2)
Ru1 0.0000 0.0000 0.2749 (multiplicity 2)

Largest 6 diffraction maxima, low angle first, 2θ = 5–70°:
d_spacing  two_theta  Rel. int.  (hkl)
2.762  32.42  100  1 1 1
2.643  33.92  25  0 0 4
2.563  35.01  34  0 1 3
2.227  40.51  30  2 0 0
2.221  40.62  51  1 1 3
1.702  53.87  22  2 0 4

***

No. 4
Starting from a structure optimized by DFT (PBE), the powder XRD pattern of Pm2AlCo5B2 was computed for Cu Ka.
Neutral-atom scattering factors, no anomalous dispersion.

Crystal structure
Unit cell a=9.2176 b=9.2176 c=3.0586 alpha=90.00 beta=90.00 gamma=90.00
Space group P4/mbm (No. 127)
One atom of each set of equivalent atoms:
Pm1 0.1792 0.3208 0.0000 (multiplicity 4)
Al1 0.0000 0.0000 0.0000 (multiplicity 2)
Co1 0.0000 0.5000 0.5000 (multiplicity 2)
Co2 0.0678 0.7678 0.5000 (multiplicity 8)
B1 0.1167 0.6167 0.0000 (multiplicity 4)

Largest 6 diffraction maxima, low angle first, 2θ = 5–70°:
d_spacing  two_theta  Rel. int.  (hkl)
4.609  19.26  28  2 0 0
4.122  21.56  30  2 1 0
2.456  36.58  100  2 1 1
2.236  40.34  82  4 1 0
2.230  40.45  28  2 2 1
2.110  42.86  52  3 1 1

***

No. 5
Starting from a structure optimized by DFT (PBE), the powder XRD pattern of Zr2AlS6 was computed for Cu Ka.
Neutral-atom scattering factors, no anomalous dispersion.

Crystal structure
Unit cell a=5.9674 b=5.9674 c=11.1524 alpha=90.00 beta=90.00 gamma=90.00
Space group P4_2/mnm (No. 136)
One atom of each set of equivalent atoms:
Zr1 0.0000 0.0000 0.1644 (multiplicity 4)
Al1 0.0000 0.0000 0.5000 (multiplicity 2)
S1 0.1926 0.1926 0.3415 (multiplicity 8)
S2 0.2082 0.2082 0.0000 (multiplicity 4)

Largest 6 diffraction maxima, low angle first, 2θ = 5–70°:
d_spacing  two_theta  Rel. int.  (hkl)
4.220  21.05  100  1 1 0
3.155  28.28  37  1 0 3
2.789  32.09  41  1 1 3
2.168  41.66  79  2 1 3
2.110  42.86  30  2 2 0
1.754  52.15  40  3 0 3

***

No. 6
Starting from a structure optimized by DFT (PBE), the powder XRD pattern of CsCeIn2I6 was computed for Cu Ka.
Neutral-atom scattering factors, no anomalous dispersion.

Crystal structure
Unit cell a=8.7914 b=8.7914 c=23.5211 alpha=90.00 beta=90.00 gamma=120.00
Space group R3 (No. 146, hexagonal axes)
One atom of each set of equivalent atoms:
Cs1 0.0000 0.0000 0.0000 (multiplicity 3)
Ce1 0.0000 0.0000 0.4826 (multiplicity 3)
In1 0.0000 0.0000 0.2906 (multiplicity 3)
In2 0.0000 0.0000 0.8050 (multiplicity 3)
I1 0.0129 0.3096 0.5537 (multiplicity 9)
I2 0.0323 0.6153 0.0626 (multiplicity 9)

Largest 6 diffraction maxima, low angle first, 2θ = 5–70°:
d_spacing  two_theta  Rel. int.  (hkl)
6.391  13.86  32  0 1 2
3.834  23.20  100  2 -1 3
2.926  30.56  87  2 -1 6
2.585  34.71  27  3 -1 4
2.538  35.37  52  3 0 0
2.247  40.14  34  1 1 9

***

No. 7
Starting from a structure optimized by DFT (PBE), the powder XRD pattern of Mg3SnRh3 was computed for Cu Ka.
Neutral-atom scattering factors, no anomalous dispersion.

Crystal structure
Unit cell a=8.8420 b=8.8420 c=5.4188 alpha=90.00 beta=90.00 gamma=120.00
Space group R-3m (No. 166, hexagonal axes)
One atom of each set of equivalent atoms:
Mg1 0.0000 0.5000 0.0000 (multiplicity 9)
Sn1 0.0000 0.0000 0.0000 (multiplicity 3)
Rh1 0.0000 0.5000 0.5000 (multiplicity 9)

Largest 6 diffraction maxima, low angle first, 2θ = 5–70°:
d_spacing  two_theta  Rel. int.  (hkl)
4.423  20.07  47  1 0 1
2.553  35.15  23  2 1 1
2.211  40.81  100  2 2 0
1.977  45.89  11  1 3 1
1.672  54.93  13  3 2 1
1.563  59.09  17  0 4 2

***

No. 8
Starting from a structure optimized by DFT (PBE), the powder XRD pattern of CeFeRu2 was computed for Cu Ka.
Neutral-atom scattering factors, no anomalous dispersion.

Crystal structure
Unit cell a=4.4806 b=4.4806 c=3.3313 alpha=90.00 beta=90.00 gamma=90.00
Space group P4/mmm (No. 123)
One atom of each set of equivalent atoms:
Ce1 0.0000 0.0000 0.0000 (multiplicity 1)
Fe1 0.5000 0.5000 0.0000 (multiplicity 1)
Ru1 0.0000 0.5000 0.5000 (multiplicity 2)

Largest 6 diffraction maxima, low angle first, 2θ = 5–70°:
d_spacing  two_theta  Rel. int.  (hkl)
4.481  19.81  11  1 0 0
2.673  33.52  6  1 0 1
2.296  39.24  100  1 1 1
2.240  40.26  46  2 0 0
1.666  55.14  9  0 0 2
1.584  58.24  15  2 2 0